[1]
Diffraction record for Dy2Ni7Sn3. The powder diffraction line list is calculated, not measured: it uses the PBE geometry in OQMD and a wavelength of 1.5418 Å.
Peak positions follow from Bragg's law for the DFT cell and can differ from measured ones.

Crystal structure
```
data_Dy2Ni7Sn3
_chemical_formula_sum 'Dy16 Ni56 Sn24'
_space_group_name_H-M_alt 'C m c e'
_space_group_IT_number 64
_space_group_name_Hall '-C 2ac 2'
_cell_length_a 8.593
_cell_length_b 23.706
_cell_length_c 7.547
_cell_angle_alpha 90.00
_cell_angle_beta 90.00
_cell_angle_gamma 90.00
loop_
_atom_site_label
_atom_site_fract_x
_atom_site_fract_y
_atom_site_fract_z
_atom_site_occupancy
Dy1 0.000 0.194 0.073 1
Dy2 0.207 0.000 0.500 1
Ni1 0.000 0.047 0.146 1
Ni2 0.000 0.101 0.445 1
Ni3 0.000 0.165 0.690 1
Ni4 0.149 0.198 0.421 1
Ni5 0.239 0.116 0.908 1
Sn1 0.000 0.062 0.795 1
Sn2 0.250 0.106 0.250 1
Sn3 0.250 0.218 0.750 1
```

Largest 10 diffraction maxima, by intensity, 10 to 90 degrees two-theta:
hkl 2 8 0, 2θ 36.8, I = 100; hkl 3 5 1, 2θ 38.6, I = 90; hkl 2 2 2, 2θ 32.5, I = 83; hkl 0 6 3, 2θ 42.6, I = 69; hkl 2 2 3, 2θ 42.3, I = 65; hkl 4 0 0, 2θ 42.1, I = 63; hkl 2 4 1, 2θ 28.2, I = 42; hkl 0 6 2, 2θ 32.8, I = 40; hkl 2 6 2, 2θ 39.1, I = 37; hkl 0 10 0, 2θ 38.0, I = 36

---

[2]
Diffraction record for Dy4Ni12Sn25. The powder diffraction line list is calculated, not measured: it uses the PBE geometry in OQMD and a wavelength of 1.5418 Å.
Peak positions follow from Bragg's law for the DFT cell and can differ from measured ones.

Crystal structure
```
data_Dy4Ni12Sn25
_chemical_formula_sum 'Dy8 Ni24 Sn50'
_space_group_name_H-M_alt 'I m -3'
_space_group_IT_number 204
_space_group_name_Hall '-I 2 2 3'
_cell_length_a 11.935
_cell_length_b 11.935
_cell_length_c 11.935
_cell_angle_alpha 90.00
_cell_angle_beta 90.00
_cell_angle_gamma 90.00
loop_
_atom_site_label
_atom_site_fract_x
_atom_site_fract_y
_atom_site_fract_z
_atom_site_occupancy
Dy1 0.250 0.250 0.250 1
Ni1 0.000 0.162 0.320 1
Sn1 0.000 0.000 0.000 1
Sn2 0.000 0.248 0.127 1
Sn3 0.000 0.370 0.372 1
```

Largest 10 diffraction maxima, by intensity, 10 to 90 degrees two-theta:
hkl 4 1 1, 2θ 31.8, I = 100; hkl 4 2 0, 2θ 33.6, I = 99; hkl 4 2 2, 2θ 36.9, I = 78; hkl 5 0 3, 2θ 44.3, I = 39; hkl 7 4 1, 2θ 63.3, I = 35; hkl 5 3 2, 2θ 46.9, I = 26; hkl 8 0 0, 2θ 62.2, I = 26; hkl 10 0 4, 2θ 88.2, I = 25; hkl 4 3 1, 2θ 38.5, I = 22; hkl 6 4 2, 2θ 57.8, I = 21

---

[3]
Diffraction record for TbDyNi. The powder diffraction line list is calculated, not measured: it uses the PBE geometry in OQMD and a wavelength of 1.5418 Å.
Peak positions follow from Bragg's law for the DFT cell and can differ from measured ones.

Crystal structure
```
data_TbDyNi
_chemical_formula_sum 'Tb6 Dy6 Ni6'
_space_group_name_H-M_alt 'A m m 2'
_space_group_IT_number 38
_space_group_name_Hall 'A 2 -2'
_cell_length_a 4.642
_cell_length_b 12.426
_cell_length_c 7.185
_cell_angle_alpha 90.00
_cell_angle_beta 90.00
_cell_angle_gamma 90.00
loop_
_atom_site_label
_atom_site_fract_x
_atom_site_fract_y
_atom_site_fract_z
_atom_site_occupancy
Tb1 0.000 0.000 0.000 1
Tb2 0.000 0.202 0.394 1
Dy1 0.500 0.000 0.330 1
Dy2 0.500 0.133 0.728 1
Ni1 0.000 0.000 0.595 1
Ni2 0.500 0.167 0.095 1
```

Largest 10 diffraction maxima, by intensity, 10 to 90 degrees two-theta:
hkl 1 0 2, 2θ 31.5, I = 100; hkl 1 4 0, 2θ 34.7, I = 52; hkl 0 4 2, 2θ 38.3, I = 34; hkl 2 0 0, 2θ 38.8, I = 27; hkl 2 4 2, 2θ 55.7, I = 23; hkl 0 3 3, 2θ 43.7, I = 20; hkl 1 7 3, 2θ 68.9, I = 20; hkl 2 3 3, 2θ 59.8, I = 16; hkl 3 4 0, 2θ 67.7, I = 15; hkl 1 7 1, 2θ 57.0, I = 13

---

[4]
Diffraction record for DyNi4Te3. The powder diffraction line list is calculated, not measured: it uses the PBE geometry in OQMD and a wavelength of 1.5418 Å.
Peak positions follow from Bragg's law for the DFT cell and can differ from measured ones.

Crystal structure
```
data_DyNi4Te3
_chemical_formula_sum 'Dy1 Ni4 Te3'
_space_group_name_H-M_alt 'P 1 m 1'
_space_group_IT_number 6
_space_group_name_Hall 'P -2y'
_cell_length_a 5.572
_cell_length_b 3.848
_cell_length_c 6.896
_cell_angle_alpha 90.00
_cell_angle_beta 102.60
_cell_angle_gamma 90.00
loop_
_atom_site_label
_atom_site_fract_x
_atom_site_fract_y
_atom_site_fract_z
_atom_site_occupancy
Dy1 0.000 0.000 0.000 1
Ni1 0.156 0.500 0.721 1
Ni2 0.480 0.000 0.784 1
Ni3 0.572 0.000 0.347 1
Ni4 0.879 0.500 0.323 1
Te1 0.156 0.000 0.450 1
Te2 0.485 0.500 0.064 1
Te3 0.699 0.500 0.639 1
```

Largest 10 diffraction maxima, by intensity, 10 to 90 degrees two-theta:
hkl 1 1 -2, 2θ 36.6, I = 100; hkl 1 1 -1, 2θ 29.8, I = 82; hkl 0 1 2, 2θ 35.4, I = 82; hkl 1 1 2, 2θ 41.7, I = 80; hkl 0 2 0, 2θ 47.2, I = 69; hkl 2 0 0, 2θ 32.9, I = 69; hkl 1 1 0, 2θ 28.4, I = 59; hkl 2 0 -1, 2θ 32.7, I = 53; hkl 2 0 1, 2θ 38.3, I = 45; hkl 2 1 1, 2θ 45.2, I = 37